# 1
MgV4O7F5: theoretical X-ray powder pattern (copper Kα), based on DFT lattice parameters and positions (PBE+U).
Intensities are scaled so that the largest is 100.

```
data_MgV4O7F5
_symmetry_space_group_name_H-M 'P 1'
_symmetry_Int_Tables_number 1
_cell_length_a 5.1707
_cell_length_b 5.3974
_cell_length_c 8.8909
_cell_angle_alpha 106.79
_cell_angle_beta 90.54
_cell_angle_gamma 117.80
loop_
_symmetry_equiv_pos_as_xyz
'x,y,z'
loop_
_atom_site_label
_atom_site_type_symbol
_atom_site_fract_x
_atom_site_fract_y
_atom_site_fract_z
Mg1 Mg 0.0000 0.0000 0.0000
V1 V 0.0183 0.0184 0.3496
V2 V 0.3325 0.6384 0.0894
V3 V 0.5305 0.1146 0.8349
V4 V 0.7344 0.5389 0.5808
O1 O 0.2203 0.8500 0.2768
O2 O 0.2919 0.8382 0.9754
O3 O 0.3327 0.3181 0.9263
O4 O 0.3656 0.3463 0.5108
O5 O 0.7310 0.3089 0.7174
O6 O 0.7455 0.8466 0.1592
O7 O 0.8217 0.8336 0.4690
F1 F 0.1780 0.8124 0.6746
F2 F 0.2457 0.3360 0.2096
F3 F 0.7124 0.8234 0.7892
F4 F 0.8553 0.3151 0.0206
F5 F 0.8618 0.3246 0.4167
```

Principal peaks in the range 2θ from 5° to 70°, low angle first:
23.7°, I = 48; 24.0°, I = 100; 33.3°, I = 8; 33.7°, I = 9; 34.7°, I = 15; 40.8°, I = 11; 48.5°, I = 9; 49.0°, I = 10; 49.2°, I = 11; 54.6°, I = 8

***

# 2
MgV6O5F19: theoretical X-ray powder pattern (copper Kα), based on DFT lattice parameters and positions (PBE+U).
Intensities are scaled so that the largest is 100.

```
data_MgV6O5F19
_symmetry_space_group_name_H-M 'P 1'
_symmetry_Int_Tables_number 1
_cell_length_a 5.3505
_cell_length_b 5.4276
_cell_length_c 15.5925
_cell_angle_alpha 80.40
_cell_angle_beta 89.86
_cell_angle_gamma 88.27
loop_
_symmetry_equiv_pos_as_xyz
'x,y,z'
loop_
_atom_site_label
_atom_site_type_symbol
_atom_site_fract_x
_atom_site_fract_y
_atom_site_fract_z
Mg1 Mg 0.0000 0.0000 0.0000
V1 V 0.2493 0.8501 0.8035
V2 V 0.2681 0.1696 0.1643
V3 V 0.2922 0.5541 0.4912
V4 V 0.7638 0.3276 0.8021
V5 V 0.8011 0.0523 0.4793
V6 V 0.8174 0.6600 0.1604
O1 O 0.0252 0.2425 0.4536
O2 O 0.0480 0.8777 0.1455
O3 O 0.4565 0.7767 0.5157
O4 O 0.9724 0.3937 0.1450
O5 O 0.9795 0.0892 0.7918
F1 F 0.0212 0.5895 0.7924
F2 F 0.1531 0.4261 0.5913
F3 F 0.1814 0.8031 0.9270
F4 F 0.2033 0.1067 0.2755
F5 F 0.2733 0.1926 0.0412
F6 F 0.3351 0.8949 0.6941
F7 F 0.3423 0.5688 0.3779
F8 F 0.4693 0.4538 0.1587
F9 F 0.4751 0.1054 0.8270
F10 F 0.5192 0.5995 0.8354
F11 F 0.5476 0.2875 0.5102
F12 F 0.5555 0.9539 0.1719
F13 F 0.6473 0.0541 0.3785
F14 F 0.6538 0.4359 0.6935
F15 F 0.7263 0.7676 0.0406
F16 F 0.7889 0.6012 0.2743
F17 F 0.8234 0.2673 0.9303
F18 F 0.8450 0.9459 0.5919
F19 F 0.9805 0.7480 0.4597
```

Principal peaks in the range 2θ from 5° to 70°, low angle first:
17.3°, I = 100; 24.5°, I = 49; 24.7°, I = 49; 25.3°, I = 94; 33.0°, I = 12; 35.0°, I = 20; 39.0°, I = 15; 47.0°, I = 18; 48.5°, I = 17; 53.7°, I = 14

***

# 3
MgV4O7F5: theoretical X-ray powder pattern (copper Kα), based on DFT lattice parameters and positions (PBE+U).
Intensities are scaled so that the largest is 100.

```
data_MgV4O7F5
_symmetry_space_group_name_H-M 'P 1'
_symmetry_Int_Tables_number 1
_cell_length_a 5.1199
_cell_length_b 5.4034
_cell_length_c 8.7775
_cell_angle_alpha 74.49
_cell_angle_beta 74.85
_cell_angle_gamma 63.22
loop_
_symmetry_equiv_pos_as_xyz
'x,y,z'
loop_
_atom_site_label
_atom_site_type_symbol
_atom_site_fract_x
_atom_site_fract_y
_atom_site_fract_z
Mg1 Mg 0.0000 0.0000 0.0000
V1 V 0.0724 0.2456 0.6309
V2 V 0.3369 0.4728 0.8684
V3 V 0.5111 0.7465 0.1563
V4 V 0.7859 0.9870 0.4045
O1 O 0.1019 0.9565 0.2167
O2 O 0.1175 0.2911 0.8320
O3 O 0.4522 0.6721 0.9870
O4 O 0.4986 0.0784 0.5626
O5 O 0.6283 0.4147 0.7204
O6 O 0.6335 0.8414 0.3140
O7 O 0.9936 0.1479 0.4820
F1 F 0.0389 0.6257 0.5153
F2 F 0.0701 0.8668 0.7789
F3 F 0.5557 0.1212 0.0195
F4 F 0.5703 0.3758 0.2833
F5 F 0.9671 0.6094 0.0615
```

Principal peaks in the range 2θ from 5° to 70°, low angle first:
23.1°, I = 100; 23.9°, I = 91; 24.8°, I = 92; 32.5°, I = 24; 33.3°, I = 22; 34.4°, I = 32; 35.1°, I = 23; 47.2°, I = 32; 50.9°, I = 20; 55.2°, I = 18

***

# 4
MgV2O2F6: theoretical X-ray powder pattern (copper Kα), based on DFT lattice parameters and positions (PBE+U).
Intensities are scaled so that the largest is 100.

```
data_MgV2O2F6
_symmetry_space_group_name_H-M 'P 1'
_symmetry_Int_Tables_number 1
_cell_length_a 4.7511
_cell_length_b 4.7694
_cell_length_c 7.8861
_cell_angle_alpha 72.59
_cell_angle_beta 75.91
_cell_angle_gamma 89.99
loop_
_symmetry_equiv_pos_as_xyz
'x,y,z'
loop_
_atom_site_label
_atom_site_type_symbol
_atom_site_fract_x
_atom_site_fract_y
_atom_site_fract_z
Mg1 Mg 0.0000 0.0000 0.0000
V1 V 0.2337 0.1382 0.5946
V2 V 0.7641 0.7321 0.4049
O1 O 0.4882 0.8937 0.5792
O2 O 0.5098 0.4723 0.4204
F1 F 0.0524 0.0413 0.4171
F2 F 0.0777 0.6903 0.1981
F3 F 0.2998 0.2512 0.8058
F4 F 0.6975 0.0547 0.1943
F5 F 0.9202 0.8912 0.8009
F6 F 0.9457 0.4596 0.5821
```

Principal peaks in the range 2θ from 5° to 70°, low angle first:
12.2°, I = 100; 19.3°, I = 14; 19.6°, I = 42; 20.1°, I = 27; 26.5°, I = 60; 28.7°, I = 11; 35.5°, I = 22; 37.3°, I = 13; 51.9°, I = 10; 54.6°, I = 15

***

# 5
MgV4O7F5: theoretical X-ray powder pattern (copper Kα), based on DFT lattice parameters and positions (PBE+U).
Intensities are scaled so that the largest is 100.

```
data_MgV4O7F5
_symmetry_space_group_name_H-M 'P 1'
_symmetry_Int_Tables_number 1
_cell_length_a 5.1491
_cell_length_b 5.4573
_cell_length_c 7.3822
_cell_angle_alpha 86.33
_cell_angle_beta 89.16
_cell_angle_gamma 88.27
loop_
_symmetry_equiv_pos_as_xyz
'x,y,z'
loop_
_atom_site_label
_atom_site_type_symbol
_atom_site_fract_x
_atom_site_fract_y
_atom_site_fract_z
Mg1 Mg 0.0000 0.0000 0.0000
V1 V 0.0272 0.6296 0.3269
V2 V 0.5145 0.0892 0.7989
V3 V 0.5490 0.1429 0.2954
V4 V 0.9913 0.5642 0.8207
O1 O 0.1052 0.6024 0.5460
O2 O 0.1787 0.8926 0.2437
O3 O 0.1896 0.2651 0.8543
O4 O 0.6254 0.0965 0.0524
O5 O 0.7845 0.3367 0.3456
O6 O 0.7855 0.8950 0.7582
O7 O 0.9093 0.6143 0.0425
F1 F 0.2811 0.3990 0.2363
F2 F 0.2924 0.7913 0.8608
F3 F 0.3914 0.1030 0.5416
F4 F 0.6887 0.3993 0.7395
F5 F 0.7034 0.8109 0.3601
```

Principal peaks in the range 2θ from 5° to 70°, low angle first:
23.4°, I = 52; 24.2°, I = 100; 32.9°, I = 20; 39.7°, I = 13; 40.5°, I = 12; 49.5°, I = 22; 53.0°, I = 13; 54.1°, I = 13; 55.0°, I = 16; 62.7°, I = 11

***

# 6
MgV6O5F19: theoretical X-ray powder pattern (copper Kα), based on DFT lattice parameters and positions (PBE+U).
Intensities are scaled so that the largest is 100.

```
data_MgV6O5F19
_symmetry_space_group_name_H-M 'P 1'
_symmetry_Int_Tables_number 1
_cell_length_a 5.3576
_cell_length_b 5.4323
_cell_length_c 15.4709
_cell_angle_alpha 80.70
_cell_angle_beta 89.69
_cell_angle_gamma 89.01
loop_
_symmetry_equiv_pos_as_xyz
'x,y,z'
loop_
_atom_site_label
_atom_site_type_symbol
_atom_site_fract_x
_atom_site_fract_y
_atom_site_fract_z
Mg1 Mg 0.0000 0.0000 0.0000
V1 V 0.2858 0.8061 0.8082
V2 V 0.2867 0.5409 0.4858
V3 V 0.3072 0.1665 0.1616
V4 V 0.7451 0.6470 0.1592
V5 V 0.7678 0.0144 0.4812
V6 V 0.7826 0.2999 0.8009
O1 O 0.4624 0.4400 0.1641
O2 O 0.4665 0.7686 0.5043
O3 O 0.5086 0.5974 0.8330
O4 O 0.5307 0.9420 0.1728
O5 O 0.9882 0.0700 0.7925
F1 F 0.0310 0.5799 0.7921
F2 F 0.0370 0.2255 0.4585
F3 F 0.0372 0.8832 0.1315
F4 F 0.1612 0.4304 0.5905
F5 F 0.1662 0.1089 0.2657
F6 F 0.1771 0.7931 0.9289
F7 F 0.2801 0.1981 0.0379
F8 F 0.3321 0.5437 0.3721
F9 F 0.3332 0.8889 0.6949
F10 F 0.4778 0.0860 0.8287
F11 F 0.5409 0.2828 0.5070
F12 F 0.6601 0.4190 0.6938
F13 F 0.6613 0.0567 0.3714
F14 F 0.7162 0.7637 0.0369
F15 F 0.8227 0.2646 0.9302
F16 F 0.8271 0.9272 0.5940
F17 F 0.8290 0.6032 0.2695
F18 F 0.9552 0.3816 0.1322
F19 F 0.9834 0.7321 0.4571
```

Principal peaks in the range 2θ from 5° to 70°, low angle first:
17.4°, I = 100; 24.7°, I = 50; 24.8°, I = 47; 25.0°, I = 50; 25.2°, I = 50; 35.3°, I = 20; 47.3°, I = 19; 48.1°, I = 16; 50.6°, I = 13; 54.1°, I = 15